VPF: theoretical powder diffractogram (Cu Kα, 1.54184 Å), based on the PBE+U geometry in Alexandria.

Structure:
Cell: 8.0352 8.0352 2.7885 Å, 90.00 90.00 90.00°
Space group P4_2/m (No. 84)
Symmetry-distinct sites (fractional):
1 V 0.2245 0.2320 0.0000
2 P 0.2189 0.4755 0.5000
3 F 0.0457 0.7978 0.0000

Most intense lines, 2θ = 10–90°, sorted by position:
- d = 4.018 Å, 22.1 deg, intensity 100
- d = 2.678 Å, 33.5 deg, intensity 27
- d = 2.503 Å, 35.9 deg, intensity 37
- d = 2.291 Å, 39.3 deg, intensity 37
- d = 2.009 Å, 45.1 deg, intensity 31
- d = 1.878 Å, 48.5 deg, intensity 57
- d = 1.797 Å, 50.8 deg, intensity 15
- d = 1.741 Å, 52.6 deg, intensity 15
- d = 1.567 Å, 59.0 deg, intensity 19
- d = 1.101 Å, 88.9 deg, intensity 14